1.
Diffraction record for TbNiAs2O8. The X-ray diffraction stick pattern is calculated, not measured: it uses DFT lattice parameters and positions (GGA+U) and Cu Kα (λ = 1.5418 Å).
No peak broadening, texture or thermal motion is included.

Top 6 peaks for 10 to 90 degrees two-theta, in order of rising 2θ:
2θ = 25.40°, rel. 1000
2θ = 33.52°, rel. 722
2θ = 36.23°, rel. 202
2θ = 50.18°, rel. 603
2θ = 52.17°, rel. 176
2θ = 63.45°, rel. 178

a = 7.0130 Å, b = 7.0130 Å, c = 6.3491 Å
α = 90.00°, β = 90.00°, γ = 90.00°
Space group I-4m2 (No. 119)
One atom of each set of equivalent atoms:
Tb1 0.0000 0.0000 0.0000 (multiplicity 2)
Ni1 0.0000 0.5000 0.7500 (multiplicity 2)
As1 0.0000 0.0000 0.5000 (multiplicity 2)
As2 0.0000 0.5000 0.2500 (multiplicity 2)
O1 0.0000 0.1876 0.6775 (multiplicity 8)
O2 0.0000 0.3171 0.0727 (multiplicity 8)

=====

2.
Diffraction record for Mn2HSeO. The X-ray diffraction stick pattern is calculated, not measured: it uses DFT lattice parameters and positions (GGA+U) and Cu Kα (λ = 1.5418 Å).
No peak broadening, texture or thermal motion is included.

Top 6 peaks for 10 to 90 degrees two-theta, in order of rising 2θ:
2θ = 16.32°, rel. 498
2θ = 22.84°, rel. 922
2θ = 26.05°, rel. 1000
2θ = 28.20°, rel. 507
2θ = 32.98°, rel. 732
2θ = 42.12°, rel. 735

a = 8.5450 Å, b = 3.8082 Å, c = 5.9591 Å
α = 90.00°, β = 114.29°, γ = 90.00°
Space group Cm (No. 8)
One atom of each set of equivalent atoms:
Mn1 0.0000 0.0000 0.0000 (multiplicity 2)
Mn2 0.1641 0.5000 0.4868 (multiplicity 2)
H1 0.3986 0.5000 0.6801 (multiplicity 2)
Se1 0.1801 0.5000 0.9419 (multiplicity 2)
O1 0.1051 0.0000 0.3580 (multiplicity 2)

=====

Q: Which formula does entry 2 have?
A: Mn2HSeO